No. 1
# CuAg3
Simulated powder diffractogram, CuKα. Input: a structure optimized by DFT (GGA-PBE).
Peak positions follow from Bragg's law for the DFT cell and can differ from measured ones.

Crystal structure
Unit cell a=2.8968 b=2.8968 c=15.7108 alpha=90.00 beta=90.00 gamma=90.00
Space group P4/nmm (No. 129, origin choice 2)
Asymmetric unit:
Cu1 0.2500 0.2500 0.1833 [2 per cell]
Ag1 0.2500 0.2500 0.4335 [2 per cell]
Ag2 0.2500 0.2500 0.7018 [2 per cell]
Ag3 0.2500 0.2500 0.9318 [2 per cell]

Peak list (6 most intense, 2θ = 10–80°, low angle first)
(1 0 4), 38.6°, rel. 100
(1 1 0), 44.2°, rel. 35
(0 0 8), 46.2°, rel. 13
(2 0 0), 64.3°, rel. 11
(1 1 8), 65.9°, rel. 17
(2 1 4), 77.6°, rel. 24

---

No. 2
# Tl5Au3O2
Simulated powder diffractogram, CuKα. Input: a structure optimized by DFT (GGA-PBE).
Peak positions follow from Bragg's law for the DFT cell and can differ from measured ones.

Crystal structure
Unit cell a=7.5157 b=15.4783 c=4.3745 alpha=90.00 beta=90.00 gamma=90.00
Space group Pbam (No. 55)
Asymmetric unit:
Tl1 0.0000 0.0000 0.0000 [2 per cell]
Tl2 0.1264 0.3158 0.0000 [4 per cell]
Tl3 0.2491 0.1604 0.5000 [4 per cell]
Au1 0.0000 0.5000 0.0000 [2 per cell]
Au2 0.1310 0.8759 0.5000 [4 per cell]
O1 0.1857 0.5947 0.0000 [4 per cell]

Peak list (6 most intense, 2θ = 10–80°, low angle first)
(1 3 1), 29.3°, rel. 49
(0 4 1), 30.9°, rel. 100
(2 0 1), 31.4°, rel. 62
(2 1 1), 31.9°, rel. 74
(1 4 1), 33.1°, rel. 66
(0 0 2), 41.3°, rel. 62

---

No. 3
# NaTmTeO
Simulated powder diffractogram, CuKα. Input: a structure optimized by DFT (GGA-PBE).
Peak positions follow from Bragg's law for the DFT cell and can differ from measured ones.

Crystal structure
Unit cell a=7.3644 b=7.4333 c=6.5481 alpha=90.00 beta=99.09 gamma=90.00
Space group P2_1/c (No. 14)
Asymmetric unit:
Na1 0.1095 0.2004 0.4667 [4 per cell]
Tm1 0.4736 0.6254 0.7853 [4 per cell]
Te1 0.2041 0.5795 0.3585 [4 per cell]
O1 0.4122 0.1490 0.3913 [4 per cell]

Peak list (6 most intense, 2θ = 10–80°, low angle first)
(1 0 0), 12.2°, rel. 99
(1 1 1), 23.1°, rel. 32
(2 1 -1), 28.8°, rel. 52
(1 2 -1), 29.4°, rel. 100
(1 0 2), 32.0°, rel. 57
(2 2 1), 38.8°, rel. 55

---

No. 4
# DyAlPdPt
Simulated powder diffractogram, CuKα. Input: a structure optimized by DFT (GGA-PBE).
Peak positions follow from Bragg's law for the DFT cell and can differ from measured ones.

Crystal structure
Unit cell a=4.3547 b=4.3547 c=9.1912 alpha=90.00 beta=90.00 gamma=120.00
Space group P-3m1 (No. 164)
Asymmetric unit:
Dy1 0.3333 0.6667 0.2538 [2 per cell]
Al1 0.0000 0.0000 0.0000 [1 per cell]
Al2 0.0000 0.0000 0.5000 [1 per cell]
Pd1 0.3333 0.6667 0.9209 [2 per cell]
Pt1 0.3333 0.6667 0.5846 [2 per cell]

Peak list (6 most intense, 2θ = 10–80°, low angle first)
(1 0 0), 23.6°, rel. 44
(0 1 3), 37.8°, rel. 100
(1 1 0), 41.5°, rel. 58
(2 0 3), 57.4°, rel. 30
(1 2 3), 73.2°, rel. 29
(1 1 6), 76.0°, rel. 15

---

No. 5
# TbAlZnNi
Simulated powder diffractogram, CuKα. Input: a structure optimized by DFT (GGA-PBE).
Peak positions follow from Bragg's law for the DFT cell and can differ from measured ones.

Crystal structure
Unit cell a=4.0934 b=9.6630 c=7.0953 alpha=90.00 beta=90.00 gamma=90.00
Space group Cmc2_1 (No. 36)
Asymmetric unit:
Tb1 0.0000 0.0616 0.0000 [4 per cell]
Al1 0.0000 0.3429 0.1985 [4 per cell]
Zn1 0.0000 0.3518 0.8103 [4 per cell]
Ni1 0.0000 0.2198 0.5086 [4 per cell]

Peak list (6 most intense, 2θ = 10–80°, low angle first)
(1 1 0), 23.6°, rel. 33
(0 0 2), 25.1°, rel. 32
(1 1 2), 34.7°, rel. 100
(1 3 1), 37.7°, rel. 86
(0 4 1), 39.4°, rel. 43
(2 0 0), 44.3°, rel. 32

---

No. 6
# Li4Zn2IrPd
Simulated powder diffractogram, CuKα. Input: a structure optimized by DFT (GGA-PBE).
Peak positions follow from Bragg's law for the DFT cell and can differ from measured ones.

Crystal structure
Unit cell a=4.2483 b=4.2483 c=6.0193 alpha=90.00 beta=90.00 gamma=90.00
Space group P-4m2 (No. 115)
Asymmetric unit:
Li1 0.0000 0.0000 0.0000 [1 per cell]
Li2 0.0000 0.5000 0.2495 [2 per cell]
Li3 0.5000 0.5000 0.5000 [1 per cell]
Zn1 0.0000 0.5000 0.7614 [2 per cell]
Ir1 0.5000 0.5000 0.0000 [1 per cell]
Pd1 0.0000 0.0000 0.5000 [1 per cell]

Peak list (6 most intense, 2θ = 10–80°, low angle first)
(1 0 1), 25.7°, rel. 100
(0 0 2), 29.7°, rel. 12
(2 0 0), 42.5°, rel. 83
(2 1 1), 50.3°, rel. 48
(3 0 1), 68.0°, rel. 19
(3 1 2), 77.8°, rel. 27

---

No. 7
# DyYCN2O2
Simulated powder diffractogram, CuKα. Input: a structure optimized by DFT (GGA-PBE).
Peak positions follow from Bragg's law for the DFT cell and can differ from measured ones.

Crystal structure
Unit cell a=3.7063 b=3.7063 c=8.1560 alpha=90.00 beta=90.00 gamma=120.00
Space group P3m1 (No. 156)
Asymmetric unit:
Dy1 0.0000 0.0000 0.0000 [1 per cell]
Y1 0.3333 0.6667 0.3552 [1 per cell]
C1 0.6667 0.3333 0.6773 [1 per cell]
N1 0.6667 0.3333 0.5257 [1 per cell]
N2 0.6667 0.3333 0.8286 [1 per cell]
O1 0.0000 0.0000 0.2797 [1 per cell]
O2 0.3333 0.6667 0.0729 [1 per cell]

Peak list (6 most intense, 2θ = 10–80°, low angle first)
(0 0 1), 10.8°, rel. 63
(0 1 1), 29.9°, rel. 100
(1 0 2), 35.6°, rel. 42
(0 1 3), 43.6°, rel. 24
(1 1 0), 49.2°, rel. 29
(0 1 4), 53.2°, rel. 24

---

No. 8
# HgTePdO
Simulated powder diffractogram, CuKα. Input: a structure optimized by DFT (GGA-PBE).
Peak positions follow from Bragg's law for the DFT cell and can differ from measured ones.

Crystal structure
Unit cell a=3.7754 b=14.8892 c=5.7585 alpha=90.00 beta=90.00 gamma=90.00
Space group Cmc2_1 (No. 36)
Asymmetric unit:
Hg1 0.0000 0.0356 0.0000 [4 per cell]
Te1 0.0000 0.3086 0.6360 [4 per cell]
Pd1 0.0000 0.3136 0.1268 [4 per cell]
O1 0.0000 0.1045 0.6365 [4 per cell]

Peak list (6 most intense, 2θ = 10–80°, low angle first)
(1 3 0), 29.7°, rel. 100
(0 0 2), 31.1°, rel. 32
(0 2 2), 33.4°, rel. 36
(1 1 2), 39.8°, rel. 32
(1 3 2), 43.5°, rel. 33
(1 5 2), 50.3°, rel. 23

---

No. 9
# HoGaPd2
Simulated powder diffractogram, CuKα. Input: a structure optimized by DFT (GGA-PBE).
Peak positions follow from Bragg's law for the DFT cell and can differ from measured ones.

Crystal structure
Unit cell a=4.3996 b=4.3996 c=9.0035 alpha=90.00 beta=90.00 gamma=120.00
Space group P3m1 (No. 156)
Asymmetric unit:
Ho1 0.0000 0.0000 0.0000 [1 per cell]
Ho2 0.3333 0.6667 0.4997 [1 per cell]
Ga1 0.6667 0.3333 0.2500 [1 per cell]
Ga2 0.6667 0.3333 0.7513 [1 per cell]
Pd1 0.0000 0.0000 0.3312 [1 per cell]
Pd2 0.0000 0.0000 0.6670 [1 per cell]
Pd3 0.3333 0.6667 0.1678 [1 per cell]
Pd4 0.3333 0.6667 0.8315 [1 per cell]

Peak list (6 most intense, 2θ = 10–80°, low angle first)
(1 0 0), 23.3°, rel. 23
(1 0 2), 30.7°, rel. 16
(1 0 3), 38.2°, rel. 100
(1 1 0), 41.0°, rel. 78
(0 2 3), 57.3°, rel. 30
(2 1 3), 72.8°, rel. 29

---

No. 10
# Nd3AlBr2F
Simulated powder diffractogram, CuKα. Input: a structure optimized by DFT (GGA-PBE).
Peak positions follow from Bragg's law for the DFT cell and can differ from measured ones.

Crystal structure
Unit cell a=5.8027 b=5.8027 c=5.9904 alpha=90.00 beta=90.00 gamma=90.00
Space group P4/mmm (No. 123)
Asymmetric unit:
Nd1 0.0000 0.0000 0.0000 [1 per cell]
Nd2 0.0000 0.5000 0.5000 [2 per cell]
Al1 0.0000 0.0000 0.5000 [1 per cell]
Br1 0.0000 0.5000 0.0000 [2 per cell]
F1 0.5000 0.5000 0.5000 [1 per cell]

Peak list (6 most intense, 2θ = 10–80°, low angle first)
(1 1 0), 21.7°, rel. 40
(0 0 2), 29.8°, rel. 55
(2 0 0), 30.8°, rel. 100
(2 0 2), 43.4°, rel. 77
(2 2 0), 44.1°, rel. 37
(2 2 2), 54.2°, rel. 40

---

No. 11
# Hf2BeMo
Simulated powder diffractogram, CuKα. Input: a structure optimized by DFT (GGA-PBE).
Peak positions follow from Bragg's law for the DFT cell and can differ from measured ones.

Crystal structure
Unit cell a=6.4646 b=6.4646 c=6.4646 alpha=90.00 beta=90.00 gamma=90.00
Space group F-43m (No. 216)
Asymmetric unit:
Hf1 0.0000 0.0000 0.0000 [4 per cell]
Hf2 0.2500 0.2500 0.2500 [4 per cell]
Be1 0.0000 0.0000 0.5000 [4 per cell]
Mo1 0.2500 0.2500 0.7500 [4 per cell]

Peak list (6 most intense, 2θ = 10–80°, low angle first)
(1 1 1), 23.8°, rel. 41
(2 2 0), 39.4°, rel. 100
(3 1 1), 46.6°, rel. 21
(4 0 0), 57.0°, rel. 17
(3 3 1), 62.6°, rel. 9
(4 2 2), 71.5°, rel. 35

---

No. 12
# TmS2F2
Simulated powder diffractogram, CuKα. Input: a structure optimized by DFT (GGA-PBE).
Peak positions follow from Bragg's law for the DFT cell and can differ from measured ones.

Crystal structure
Unit cell a=5.5562 b=6.0504 c=6.8448 alpha=63.86 beta=81.73 gamma=65.53
Space group P-1 (No. 2)
Asymmetric unit:
Tm1 0.0004 0.1811 0.1377 [2 per cell]
S1 0.0982 0.6890 0.5026 [2 per cell]
S2 0.3425 0.8460 0.5190 [2 per cell]
F1 0.2443 0.4128 0.0452 [2 per cell]
F2 0.2451 0.9465 0.9751 [2 per cell]

Peak list (6 most intense, 2θ = 10–80°, low angle first)
(0 0 1), 14.4°, rel. 23
(1 0 0), 17.6°, rel. 100
(0 1 2), 26.9°, rel. 21
(0 1 -1), 27.4°, rel. 24
(-1 1 2), 35.4°, rel. 30
(1 -1 1), 36.8°, rel. 22